(1)
Calculated XRD peak list
Compound: CsNa4In2
Radiation: Cu Kα
Structure: a DFT-relaxed cell (PBE, Alexandria)
Neutral-atom scattering factors, no anomalous dispersion.

Largest 8 diffraction maxima, by angle, 2θ = 5–70°:
2θ/deg	I (rel.)
14.65	252
20.78	1000
29.55	971
30.38	678
30.91	646
34.17	275
42.28	318
47.57	343

Structure:
```
7
Lattice="5.3445 -4.2772 0.0000 5.3445 4.2772 0.0000 -4.0033 0.0000 5.3279" Properties=species:S:1:pos:R:3 pbc="T T T"
Cs 0.0000 0.0000 0.0000
Na 4.6918 -2.5523 3.7358
Na 1.9938 2.5523 1.5920
Na 4.6918 2.5523 3.7358
Na 1.9938 -2.5523 1.5920
In 4.3374 0.0000 1.3230
In 2.3483 0.0000 4.0048
```

=====

(2)
Calculated XRD peak list
Compound: CsNaIn11
Radiation: Cu Kα
Structure: a DFT-relaxed cell (PBE, Alexandria)
Neutral-atom scattering factors, no anomalous dispersion.

Largest 8 diffraction maxima, by angle, 2θ = 5–70°:
2θ/deg	I (rel.)
27.62	389
28.32	478
32.05	604
32.41	1000
32.73	567
32.87	930
36.15	717
37.11	443

Structure:
```
13
Lattice="3.2302 -7.7767 0.0000 3.2302 7.7767 0.0000 -3.1052 0.0000 7.6386" Properties=species:S:1:pos:R:3 pbc="T T T"
Cs 0.0000 0.0000 0.0000
Na 1.6776 0.0000 3.8193
In -1.5526 0.0000 3.8193
In 1.6151 3.8884 0.0000
In 0.1196 2.7757 2.7481
In 0.0849 1.7493 5.9514
In 0.1196 -2.7757 2.7481
In 1.6151 -3.8884 0.0000
In 0.0849 -1.7493 5.9514
In 3.2703 1.7493 1.6872
In 3.2356 2.7757 4.8905
In 3.2703 -1.7493 1.6872
In 3.2356 -2.7757 4.8905
```

=====

(3)
Calculated XRD peak list
Compound: Cs2Na3InO4
Radiation: Cu Kα
Structure: a DFT-relaxed cell (PBE, Alexandria)
Neutral-atom scattering factors, no anomalous dispersion.

Largest 8 diffraction maxima, by angle, 2θ = 5–70°:
2θ/deg	I (rel.)
24.10	441
29.35	654
29.66	250
29.87	404
30.18	1000
30.40	309
34.61	339
38.42	242

Structure:
```
40
Lattice="6.4591 0.0000 0.0000 0.0000 10.3671 0.0000 -4.5450 0.0000 11.7596" Properties=species:S:1:pos:R:3 pbc="T T T"
Cs 0.8787 2.3728 1.2926
Cs -1.3939 2.8108 7.1724
Cs -2.4382 0.0099 10.1812
Cs -0.1657 5.1736 4.3014
Cs 2.0797 5.1935 7.4582
Cs 4.3523 10.3572 1.5784
Cs 3.3079 7.5563 4.5872
Cs 1.0353 7.9943 10.4670
Na -0.2011 7.7353 2.3470
Na -2.4736 7.8154 8.2268
Na -1.0771 0.1133 5.0719
Na -3.3496 5.0702 10.9517
Na -0.9602 5.4853 9.3535
Na 1.3124 10.0653 3.4737
Na 0.6017 0.3018 8.2859
Na 2.8742 4.8818 2.4061
Na 5.2636 5.2969 0.8079
Na 2.9911 10.2538 6.6877
Na 4.3877 2.5517 3.5328
Na 2.1151 2.6318 9.4126
In 2.2882 7.4099 0.7501
In 0.0157 8.1408 6.6299
In 1.8984 2.2263 5.1298
In -0.3742 2.9572 11.0096
O 0.9844 5.8588 1.4470
O -1.2881 9.6918 7.3268
O 0.0823 1.8769 4.1317
O -2.1902 3.3067 10.0115
O -2.2367 7.1500 10.4201
O 0.0358 8.4006 4.5403
O -0.8806 6.3024 7.1586
O 1.3920 9.2483 1.2788
O 0.5221 1.1188 10.4808
O 2.7946 4.0647 4.6010
O 1.8782 1.9665 7.2193
O 4.1507 3.2171 1.3395
O 4.1042 7.0604 1.7481
O 1.8317 8.4902 7.6279
O 3.2021 0.6753 4.4328
O 0.9296 4.5083 10.3126
```